Record 1
# RbTb2PdO5
Computed PXRD pattern, copper Kα. Input: DFT lattice parameters and positions (GGA-PBE).
Kinematic intensities with the Lorentz-polarization factor, no thermal factor.

Cell lengths 7.6429, 7.6429, 7.6429 Å; angles 128.57, 128.57, 75.70 degrees
Element x y z (fractional)
Rb 0.2500 0.2500 0.0000
Rb 0.7500 0.7500 0.0000
Tb 0.1736 0.6736 0.8472
Tb 0.3264 0.1736 0.5000
Tb 0.6736 0.8264 0.5000
Tb 0.8264 0.3264 0.1528
Pd 0.2500 0.7500 0.5000
Pd 0.7500 0.2500 0.5000
O 0.0000 0.0000 0.0000
O 0.0166 0.2533 0.5000
O 0.2467 0.4834 0.5000
O 0.2533 0.7533 0.2366
O 0.4834 0.9834 0.2366
O 0.5000 0.5000 0.0000
O 0.5166 0.0166 0.7634
O 0.7467 0.2467 0.7634
O 0.7533 0.5166 0.5000
O 0.9834 0.7467 0.5000

Peak list (12 most intense, 2θ from 10° to 90°, in order of falling intensity)
2θ/deg	I_rel
30.77	100.0
37.68	58.7
31.05	54.8
29.60	45.3
48.63	31.1
53.25	25.0
14.68	23.6
38.39	21.1
49.21	20.3
45.80	17.8
57.83	17.2
62.15	14.8

---

Record 2
# Tb4ErCd3
Computed PXRD pattern, copper Kα. Input: DFT lattice parameters and positions (GGA-PBE).
Kinematic intensities with the Lorentz-polarization factor, no thermal factor.

Cell lengths 3.7683, 5.3763, 10.9142 Å; angles 90.00, 90.00, 90.00 degrees
Element x y z (fractional)
Tb 0.0000 0.0000 0.0000
Tb 0.0000 0.0000 0.5000
Tb 0.0000 0.5000 0.2381
Tb 0.0000 0.5000 0.7619
Er 0.5000 0.5000 0.5000
Cd 0.5000 0.0000 0.2530
Cd 0.5000 0.0000 0.7470
Cd 0.5000 0.5000 0.0000

Peak list (12 most intense, 2θ from 10° to 90°, in order of falling intensity)
2θ/deg	I_rel
33.35	100.0
59.60	22.1
32.82	20.4
58.94	14.6
47.48	14.5
70.05	11.2
59.96	7.3
48.30	7.1
80.47	6.3
79.22	6.2
79.49	3.2
78.65	3.0